Calculated powder diffraction line list
Compound: Sb4C
Radiation: Cu Kα, 1.54184 Å
Structure: a PBE-relaxed structure

Structural model:
Lattice parameters (Å, degrees): 4.068 4.068 11.671 90.00 90.00 120.00
Positions (direct):
Sb: 0.333 0.667 0.072
Sb: 0.333 0.667 0.417
Sb: 0.667 0.333 0.583
Sb: 0.667 0.333 0.928
C: 0.000 0.000 0.500

Principal peaks in the range 5 to 70 degrees two-theta, in order of falling intensity:
hkl, two_theta, I/Imax
1 0 3, 34.3, 100
0 0 2, 15.2, 59
1 0 1, 26.4, 44
1 0 0, 25.3, 34
1 1 0, 44.5, 34
0 0 6, 46.7, 26